Simulated XRD peak list of Cu2RhSeO6 for Cu Kα, 1.54184 Å, from DFT lattice parameters and positions (GGA-PBE).
Intensities are scaled so that the largest is 100.

Crystal structure
a = 9.7598 Å, b = 9.0476 Å, c = 5.3026 Å
α = 90.00°, β = 98.42°, γ = 90.00°
Space group C2/c (No. 15)
One atom of each set of equivalent atoms:
1 Cu 0.1913 0.0983 0.3115 [8 per cell]
2 Rh 0.0000 0.4113 0.2500 [4 per cell]
3 Se 0.0000 0.2190 0.7500 [4 per cell]
4 O 0.1034 0.2527 0.0983 [8 per cell]
5 O 0.1082 0.4227 0.6035 [8 per cell]
6 O 0.1223 0.0965 0.6565 [8 per cell]

Main lines, by angle (10° ≤ 2θ ≤ 80°):
2θ 18.4, I 40, hkl 2 0 0
2θ 29.5, I 77, hkl 3 1 0
2θ 30.5, I 72, hkl 2 2 -1
2θ 33.5, I 99, hkl 2 2 1
2θ 34.2, I 61, hkl 0 0 2
2θ 34.9, I 100, hkl 1 3 -1
2θ 57.2, I 42, hkl 5 3 -1
2θ 60.8, I 40, hkl 1 3 -3